No. 1
This entry pairs a crystal structure of Rb2TeIrI6 with its computed X-ray diffraction stick pattern. Radiation: Cu Kα, 1.54184 Å. Structure: a cell relaxed with GGA-PBE.
Lines closer than 0.1° are merged.

Structural model:
Lattice parameters (Å, degrees): 8.377 8.377 11.676 90.00 90.00 90.00
Space group I4/mmm (No. 139)
Inequivalent atoms, fractional coordinates:
Rb 0.000 0.500 0.250 x4
Te 0.000 0.000 0.000 x2
Ir 0.000 0.000 0.500 x2
I 0.000 0.000 0.266 x4
I 0.231 0.231 0.500 x8

Largest 8 diffraction maxima, in order of rising 2θ, 10 to 90 degrees two-theta:
(1 1 0), 14.96°, d = 5.923 Å, I = 58; (0 0 2), 15.18°, d = 5.838 Å, I = 28; (2 0 2), 26.19°, d = 3.403 Å, I = 70; (2 2 0), 30.18°, d = 2.962 Å, I = 100; (0 0 4), 30.63°, d = 2.919 Å, I = 49; (4 0 0), 43.20°, d = 2.094 Å, I = 35; (2 2 4), 43.53°, d = 2.079 Å, I = 70; (4 0 4), 53.88°, d = 1.702 Å, I = 35

---

No. 2
This entry pairs a crystal structure of BaGeRhO6 with its computed X-ray diffraction stick pattern. Radiation: Cu Kα, 1.54184 Å. Structure: a cell relaxed with GGA-PBE.
Lines closer than 0.1° are merged.

Structural model:
Lattice parameters (Å, degrees): 5.1834 5.1834 5.8352 90.00 90.00 120.00
Space group P312 (No. 149)
Inequivalent atoms, fractional coordinates:
Ba 0.0000 0.0000 0.0000 x1
Ge 0.6667 0.3333 0.5000 x1
Rh 0.3333 0.6667 0.5000 x1
O 0.3897 0.0052 0.6873 x6

Largest 8 diffraction maxima, in order of rising 2θ, 10 to 90 degrees two-theta:
(1 0 1), 25.03°, d = 3.558 Å, I = 100; (0 0 2), 30.64°, d = 2.918 Å, I = 11; (1 1 0), 34.61°, d = 2.592 Å, I = 29; (2 0 1), 43.19°, d = 2.095 Å, I = 19; (2 -1 2), 46.89°, d = 1.938 Å, I = 40; (1 0 3), 51.18°, d = 1.785 Å, I = 11; (3 -1 1), 56.48°, d = 1.629 Å, I = 20; (3 0 0), 62.02°, d = 1.496 Å, I = 10

---

No. 3
This entry pairs a crystal structure of Pr3Mg5 with its computed X-ray diffraction stick pattern. Radiation: Cu Kα, 1.54184 Å. Structure: a cell relaxed with GGA-PBE.
Lines closer than 0.1° are merged.

Structural model:
Lattice parameters (Å, degrees): 7.906 10.863 5.308 90.00 90.00 90.00
Space group Cmmm (No. 65)
Inequivalent atoms, fractional coordinates:
Pr 0.000 0.000 0.000 x2
Pr 0.000 0.266 0.500 x4
Mg 0.000 0.500 0.000 x2
Mg 0.249 0.500 0.500 x4
Mg 0.250 0.250 0.000 x4

Largest 8 diffraction maxima, in order of rising 2θ, 10 to 90 degrees two-theta:
(1 1 1), 21.76°, d = 4.084 Å, I = 19; (2 0 0), 22.49°, d = 3.953 Å, I = 26; (0 2 1), 23.43°, d = 3.796 Å, I = 45; (2 2 1), 32.71°, d = 2.738 Å, I = 100; (0 4 0), 32.98°, d = 2.716 Å, I = 23; (0 0 2), 33.77°, d = 2.654 Å, I = 23; (0 4 2), 47.93°, d = 1.898 Å, I = 16; (2 2 3), 59.74°, d = 1.548 Å, I = 17

---

No. 4
This entry pairs a crystal structure of Tb3Nd3In with its computed X-ray diffraction stick pattern. Radiation: Cu Kα, 1.54184 Å. Structure: a cell relaxed with GGA-PBE.
Lines closer than 0.1° are merged.

Structural model:
Lattice parameters (Å, degrees): 13.545 5.251 12.853 90.00 90.00 90.00
Space group Pnma (No. 62)
Inequivalent atoms, fractional coordinates:
Tb 0.018 0.250 0.067 x4
Tb 0.055 0.250 0.570 x4
Tb 0.227 0.750 0.435 x4
Nd 0.088 0.250 0.308 x4
Nd 0.178 0.750 0.726 x4
Nd 0.188 0.750 0.116 x4
In 0.051 0.250 0.816 x4

Largest 8 diffraction maxima, in order of rising 2θ, 10 to 90 degrees two-theta:
(0 1 3), 26.88°, d = 3.316 Å, I = 54; (3 1 2), 29.56°, d = 3.021 Å, I = 23; (2 1 3), 29.98°, d = 2.981 Å, I = 38; (4 1 0), 31.44°, d = 2.846 Å, I = 99; (1 1 4), 33.35°, d = 2.686 Å, I = 84; (4 0 3), 33.75°, d = 2.656 Å, I = 26; (0 2 0), 34.19°, d = 2.623 Å, I = 100; (3 2 4), 49.15°, d = 1.854 Å, I = 34